For Ba3PuBe2O8, a PBE-relaxed structure gives the simulated powder diffraction line list in this record (copper Kα).

Structure:
```
data_Ba3PuBe2O8
_chemical_formula_sum 'Ba3 Pu1 Be2 O8'
_space_group_name_H-M_alt 'P -3 m 1'
_space_group_IT_number 164
_space_group_name_Hall '-P 3 2"'
_cell_length_a 5.6662
_cell_length_b 5.6662
_cell_length_c 7.5247
_cell_angle_alpha 90.00
_cell_angle_beta 90.00
_cell_angle_gamma 120.00
loop_
_atom_site_label
_atom_site_type_symbol
_atom_site_fract_x
_atom_site_fract_y
_atom_site_fract_z
Ba1 Ba 0.0000 0.0000 0.0000
Ba2 Ba 0.3333 0.6667 0.7173
Pu1 Pu 0.0000 0.0000 0.5000
Be1 Be 0.3333 0.6667 0.2471
O1 O 0.1716 0.3432 0.3358
O2 O 0.3333 0.6667 0.0443
```

Largest 10 diffraction maxima, sorted by position, 5° ≤ 2θ ≤ 70°:
h k l	d [Å]	I (rel.)
0 0 1	7.525	190
1 0 0	4.907	356
0 1 1	4.110	387
0 1 2	2.986	1000
1 1 0	2.833	785
2 0 1	2.333	180
2 0 2	2.055	430
0 2 3	1.755	162
1 2 2	1.664	363
1 1 4	1.567	221

=====

For Tb3Pr5Sm4, a PBE-relaxed structure gives the simulated powder diffraction line list in this record (copper Kα).

Structure:
```
data_Tb3Pr5Sm4
_chemical_formula_sum 'Tb6 Pr10 Sm8'
_space_group_name_H-M_alt 'C 1 2/m 1'
_space_group_IT_number 12
_cell_length_a 11.5543
_cell_length_b 5.5759
_cell_length_c 13.5082
_cell_angle_alpha 90.00
_cell_angle_beta 105.56
_cell_angle_gamma 90.00
loop_
_space_group_symop_operation_xyz
'x,y,z'
'-x,-y,-z'
'-x,y,-z'
'x,-y,z'
'x+1/2,y+1/2,z'
'-x+1/2,-y+1/2,-z'
'-x+1/2,y+1/2,-z'
'x+1/2,-y+1/2,z'
loop_
_atom_site_label
_atom_site_type_symbol
_atom_site_fract_x
_atom_site_fract_y
_atom_site_fract_z
Tb1 Tb 0.0000 0.0000 0.0000
Tb2 Tb 0.0447 0.5000 0.7831
Pr1 Pr 0.0000 0.5000 0.0000
Pr2 Pr 0.1383 0.5000 0.4646
Pr3 Pr 0.1694 0.0000 0.2648
Sm1 Sm 0.0909 0.0000 0.6295
Sm2 Sm 0.2306 0.0000 0.8948
```

Largest 10 diffraction maxima, sorted by position, 5° ≤ 2θ ≤ 70°:
h k l	d [Å]	I (rel.)
1 1 3	3.093	1000
3 1 -2	3.068	958
0 2 0	2.788	594
2 0 -5	2.646	409
4 0 1	2.584	448
2 2 -5	1.919	320
4 2 1	1.895	302
1 3 3	1.662	163
3 3 -2	1.659	158
6 2 -4	1.534	144

=====

For ErTh4O10, a PBE-relaxed structure gives the simulated powder diffraction line list in this record (copper Kα).

Structure:
```
data_ErTh4O10
_chemical_formula_sum 'Er3 Th12 O30'
_space_group_name_H-M_alt 'R -3 m'
_space_group_IT_number 166
_space_group_name_Hall '-R 3 2"'
_cell_length_a 3.9534
_cell_length_b 3.9534
_cell_length_c 48.0430
_cell_angle_alpha 90.00
_cell_angle_beta 90.00
_cell_angle_gamma 120.00
loop_
_atom_site_label
_atom_site_type_symbol
_atom_site_fract_x
_atom_site_fract_y
_atom_site_fract_z
Er1 Er 0.0000 0.0000 0.0000
Th1 Th 0.0000 0.0000 0.2006
Th2 Th 0.0000 0.0000 0.3980
O1 O 0.0000 0.0000 0.0483
O2 O 0.0000 0.0000 0.1497
O3 O 0.0000 0.0000 0.2514
O4 O 0.0000 0.0000 0.3480
O5 O 0.0000 0.0000 0.4490
```

Largest 10 diffraction maxima, sorted by position, 5° ≤ 2θ ≤ 70°:
h k l	d [Å]	I (rel.)
0 1 5	3.225	1000
0 0 15	3.203	325
1 0 10	2.788	479
1 1 0	1.977	340
0 1 20	1.966	325
2 0 5	1.685	159
1 1 15	1.682	313
1 0 25	1.676	149
0 2 10	1.613	105
2 0 20	1.394	104

=====

For TlZn3Bi3, a PBE-relaxed structure gives the simulated powder diffraction line list in this record (copper Kα).

Structure:
```
data_TlZn3Bi3
_chemical_formula_sum 'Tl2 Zn6 Bi6'
_space_group_name_H-M_alt 'P m -3 n'
_space_group_IT_number 223
_space_group_name_Hall '-P 4n 2 3'
_cell_length_a 7.7884
_cell_length_b 7.7884
_cell_length_c 7.7884
_cell_angle_alpha 90.00
_cell_angle_beta 90.00
_cell_angle_gamma 90.00
loop_
_atom_site_label
_atom_site_type_symbol
_atom_site_fract_x
_atom_site_fract_y
_atom_site_fract_z
Tl1 Tl 0.0000 0.0000 0.0000
Zn1 Zn 0.0000 0.2500 0.5000
Bi1 Bi 0.0000 0.5000 0.2500
```

Largest 10 diffraction maxima, sorted by position, 5° ≤ 2θ ≤ 70°:
h k l	d [Å]	I (rel.)
2 0 0	3.894	414
2 1 0	3.483	393
2 1 1	3.180	1000
2 2 2	2.248	232
3 2 1	2.082	625
4 0 0	1.947	299
4 2 0	1.742	180
3 3 2	1.660	155
5 2 1	1.422	186
4 4 0	1.377	195

=====

For Ge2S5, a PBE-relaxed structure gives the simulated powder diffraction line list in this record (copper Kα).

Structure:
```
data_Ge2S5
_chemical_formula_sum 'Ge8 S20'
_space_group_name_H-M_alt 'P -1'
_space_group_IT_number 2
_cell_length_a 7.9815
_cell_length_b 10.0858
_cell_length_c 10.9197
_cell_angle_alpha 85.03
_cell_angle_beta 78.46
_cell_angle_gamma 89.75
loop_
_space_group_symop_operation_xyz
'x,y,z'
'-x,-y,-z'
loop_
_atom_site_label
_atom_site_type_symbol
_atom_site_fract_x
_atom_site_fract_y
_atom_site_fract_z
Ge1 Ge 0.0940 0.2566 0.0151
Ge2 Ge 0.1455 0.9698 0.2066
Ge3 Ge 0.1476 0.7903 0.6869
Ge4 Ge 0.2880 0.2705 0.2700
S1 S 0.0408 0.3162 0.3979
S2 S 0.0712 0.3165 0.8111
S3 S 0.1184 0.0115 0.6782
S4 S 0.1721 0.7075 0.8790
S5 S 0.1722 0.7442 0.1941
S6 S 0.2003 0.0509 0.0051
S7 S 0.2970 0.3757 0.0768
S8 S 0.3520 0.0526 0.2946
S9 S 0.4025 0.7574 0.5557
S10 S 0.4864 0.3860 0.3440
```

Largest 10 diffraction maxima, sorted by position, 5° ≤ 2θ ≤ 70°:
h k l	d [Å]	I (rel.)
0 1 0	10.047	470
1 0 0	7.819	1000
0 1 1	7.652	753
0 1 -1	7.011	782
1 0 -1	5.776	657
0 2 0	5.024	452
0 1 -2	4.546	434
2 1 2	3.353	563
2 2 2	2.938	415
-2 1 2	2.819	397

=====

For Sm2Al9Ag6, a PBE-relaxed structure gives the simulated powder diffraction line list in this record (copper Kα).

Structure:
```
data_Sm2Al9Ag6
_chemical_formula_sum 'Sm2 Al9 Ag6'
_space_group_name_H-M_alt 'P 6/m m m'
_space_group_IT_number 191
_space_group_name_Hall '-P 6 2'
_cell_length_a 5.4973
_cell_length_b 5.4973
_cell_length_c 13.2824
_cell_angle_alpha 90.00
_cell_angle_beta 90.00
_cell_angle_gamma 120.00
loop_
_atom_site_label
_atom_site_type_symbol
_atom_site_fract_x
_atom_site_fract_y
_atom_site_fract_z
Sm1 Sm 0.0000 0.0000 0.1632
Al1 Al 0.0000 0.5000 0.0000
Al2 Al 0.0000 0.5000 0.3353
Ag1 Ag 0.3333 0.6667 0.1668
Ag2 Ag 0.3333 0.6667 0.5000
```

Largest 10 diffraction maxima, sorted by position, 5° ≤ 2θ ≤ 70°:
h k l	d [Å]	I (rel.)
0 0 1	13.282	202
1 0 1	4.482	120
0 0 3	4.427	415
1 1 0	2.749	571
1 1 3	2.335	1000
0 0 6	2.214	188
1 1 6	1.724	274
3 0 0	1.587	104
3 0 3	1.494	235
2 2 0	1.374	118

=====

For Sr2PaTaO6, a PBE-relaxed structure gives the simulated powder diffraction line list in this record (copper Kα).

Structure:
```
data_Sr2PaTaO6
_chemical_formula_sum 'Sr2 Pa1 Ta1 O6'
_space_group_name_H-M_alt 'P 4/m m m'
_space_group_IT_number 123
_space_group_name_Hall '-P 4 2'
_cell_length_a 4.2461
_cell_length_b 4.2461
_cell_length_c 8.6462
_cell_angle_alpha 90.00
_cell_angle_beta 90.00
_cell_angle_gamma 90.00
loop_
_atom_site_label
_atom_site_type_symbol
_atom_site_fract_x
_atom_site_fract_y
_atom_site_fract_z
Sr1 Sr 0.0000 0.0000 0.2118
Pa1 Pa 0.5000 0.5000 0.5000
Ta1 Ta 0.5000 0.5000 0.0000
O1 O 0.0000 0.5000 0.0000
O2 O 0.0000 0.5000 0.5000
O3 O 0.5000 0.5000 0.2395
```

Largest 10 diffraction maxima, sorted by position, 5° ≤ 2θ ≤ 70°:
h k l	d [Å]	I (rel.)
0 0 2	4.323	173
1 0 0	4.246	285
1 0 2	3.029	1000
1 1 0	3.002	526
0 0 4	2.162	127
2 0 0	2.123	306
1 0 4	1.926	112
1 1 4	1.754	171
2 1 2	1.739	414
2 0 4	1.515	158

=====

For Tl3TeF8, a PBE-relaxed structure gives the simulated powder diffraction line list in this record (copper Kα).

Structure:
```
data_Tl3TeF8
_chemical_formula_sum 'Tl6 Te2 F16'
_space_group_name_H-M_alt 'I -4 2 m'
_space_group_IT_number 121
_space_group_name_Hall 'I -4 2'
_cell_length_a 6.4283
_cell_length_b 6.4283
_cell_length_c 11.3814
_cell_angle_alpha 90.00
_cell_angle_beta 90.00
_cell_angle_gamma 90.00
loop_
_atom_site_label
_atom_site_type_symbol
_atom_site_fract_x
_atom_site_fract_y
_atom_site_fract_z
Tl1 Tl 0.0000 0.0000 0.0000
Tl2 Tl 0.0000 0.5000 0.2500
Te1 Te 0.0000 0.0000 0.5000
F1 F 0.1448 0.1448 0.6480
F2 F 0.2179 0.2179 0.4372
```

Largest 10 diffraction maxima, sorted by position, 5° ≤ 2θ ≤ 70°:
h k l	d [Å]	I (rel.)
1 1 2	3.552	1000
2 0 0	3.214	296
0 0 4	2.845	118
2 2 0	2.273	186
2 0 4	2.130	268
3 1 2	1.914	381
2 2 4	1.776	146
1 1 6	1.751	149
3 3 2	1.464	78
3 1 6	1.387	124